1.
Diffraction record for CuReO4. The PXRD pattern is theoretical, not measured: it uses a structure optimized by DFT (GGA-PBE) and Cu Kα, 1.54184 Å.
Intensities are scaled so that the largest is 100.

The 10 most intense peaks (15 to 90 degrees two-theta), most intense first:
2θ = 25.7°, I 100; 2θ = 25.8°, I 74; 2θ = 24.5°, I 70; 2θ = 30.6°, I 59; 2θ = 18.3°, I 50; 2θ = 28.9°, I 32; 2θ = 36.7°, I 20; 2θ = 49.3°, I 20; 2θ = 44.6°, I 18; 2θ = 49.8°, I 17

```
data_CuReO4
_chemical_formula_sum 'Cu16 Re16 O64'
_space_group_name_H-M_alt 'I 41 c d'
_space_group_IT_number 110
_space_group_name_Hall 'I 4bw -2c'
_cell_length_a 13.845
_cell_length_b 13.845
_cell_length_c 7.829
_cell_angle_alpha 90.00
_cell_angle_beta 90.00
_cell_angle_gamma 90.00
loop_
_atom_site_label
_atom_site_type_symbol
_atom_site_fract_x
_atom_site_fract_y
_atom_site_fract_z
_atom_site_occupancy
Cu1 Cu 0.116 0.163 0.000 1
Re1 Re 0.098 0.356 0.685 1
O1 O 0.028 0.363 0.154 1
O2 O 0.034 0.139 0.525 1
O3 O 0.124 0.260 0.825 1
O4 O 0.155 0.338 0.485 1
```


2.
Diffraction record for La2U2Se9. The PXRD pattern is theoretical, not measured: it uses a structure optimized by DFT (GGA-PBE) and Cu Kα, 1.54184 Å.
Intensities are scaled so that the largest is 100.

The 10 most intense peaks (15 to 90 degrees two-theta), most intense first:
2θ = 40.1°, I 100; 2θ = 40.7°, I 68; 2θ = 22.9°, I 57; 2θ = 33.1°, I 54; 2θ = 37.2°, I 41; 2θ = 23.0°, I 40; 2θ = 33.5°, I 36; 2θ = 23.4°, I 31; 2θ = 32.1°, I 30; 2θ = 30.0°, I 29

```
data_La2U2Se9
_chemical_formula_sum 'La4 U4 Se18'
_space_group_name_H-M_alt 'P m m a'
_space_group_IT_number 51
_cell_length_a 10.826
_cell_length_b 5.581
_cell_length_c 10.710
_cell_angle_alpha 90.00
_cell_angle_beta 90.00
_cell_angle_gamma 90.00
loop_
_space_group_symop_operation_xyz
'x,y,z'
'-x,-y,-z'
'-x+1/2,-y,z'
'x+1/2,y,-z'
'x+1/2,-y,-z'
'-x+1/2,y,z'
'-x,y,-z'
'x,-y,z'
loop_
_atom_site_label
_atom_site_type_symbol
_atom_site_fract_x
_atom_site_fract_y
_atom_site_fract_z
_atom_site_occupancy
La1 La 0.250 0.000 0.027 1
La2 La 0.250 0.000 0.573 1
U1 U 0.008 0.500 0.253 1
Se1 Se 0.000 0.252 0.500 1
Se2 Se 0.053 0.000 0.809 1
Se3 Se 0.124 0.500 0.001 1
Se4 Se 0.250 0.251 0.286 1
Se5 Se 0.250 0.500 0.685 1
```


3.
Diffraction record for ScRh. The PXRD pattern is theoretical, not measured: it uses a structure optimized by DFT (GGA-PBE) and Cu Kα, 1.54184 Å.
Intensities are scaled so that the largest is 100.

The 7 most intense peaks (15 to 90 degrees two-theta), most intense first:
2θ = 39.4°, I 100; 2θ = 71.4°, I 32; 2θ = 27.6°, I 21; 2θ = 56.9°, I 16; 2θ = 84.7°, I 10; 2θ = 64.4°, I 8; 2θ = 48.7°, I 6

```
data_ScRh
_chemical_formula_sum 'Sc1 Rh1'
_space_group_name_H-M_alt 'P m -3 m'
_space_group_IT_number 221
_space_group_name_Hall '-P 4 2 3'
_cell_length_a 3.236
_cell_length_b 3.236
_cell_length_c 3.236
_cell_angle_alpha 90.00
_cell_angle_beta 90.00
_cell_angle_gamma 90.00
loop_
_atom_site_label
_atom_site_type_symbol
_atom_site_fract_x
_atom_site_fract_y
_atom_site_fract_z
_atom_site_occupancy
Sc1 Sc 0.000 0.000 0.000 1
Rh1 Rh 0.500 0.500 0.500 1
```


4.
Diffraction record for RbC. The PXRD pattern is theoretical, not measured: it uses a structure optimized by DFT (GGA-PBE) and Cu Kα, 1.54184 Å.
Intensities are scaled so that the largest is 100.

The 10 most intense peaks (15 to 90 degrees two-theta), most intense first:
2θ = 27.6°, I 100; 2θ = 28.0°, I 78; 2θ = 29.7°, I 46; 2θ = 26.4°, I 34; 2θ = 37.5°, I 32; 2θ = 50.7°, I 31; 2θ = 28.8°, I 29; 2θ = 22.6°, I 27; 2θ = 33.0°, I 26; 2θ = 48.5°, I 23

```
data_RbC
_chemical_formula_sum 'Rb8 C8'
_space_group_name_H-M_alt 'P n m a'
_space_group_IT_number 62
_cell_length_a 9.475
_cell_length_b 4.801
_cell_length_c 9.855
_cell_angle_alpha 90.00
_cell_angle_beta 90.00
_cell_angle_gamma 90.00
loop_
_space_group_symop_operation_xyz
'x,y,z'
'-x,-y,-z'
'-x+1/2,-y,z+1/2'
'x+1/2,y,-z+1/2'
'x+1/2,-y+1/2,-z+1/2'
'-x+1/2,y+1/2,z+1/2'
'-x,y+1/2,-z'
'x,-y+1/2,z'
loop_
_atom_site_label
_atom_site_type_symbol
_atom_site_fract_x
_atom_site_fract_y
_atom_site_fract_z
_atom_site_occupancy
Rb1 Rb 0.013 0.250 0.169 1
Rb2 Rb 0.161 0.250 0.572 1
C1 C 0.169 0.750 0.353 1
C2 C 0.211 0.250 0.909 1
```


5.
Diffraction record for TlBi3. The PXRD pattern is theoretical, not measured: it uses a structure optimized by DFT (GGA-PBE) and Cu Kα, 1.54184 Å.
Intensities are scaled so that the largest is 100.

The 8 most intense peaks (15 to 90 degrees two-theta), most intense first:
2θ = 30.8°, I 100; 2θ = 35.7°, I 51; 2θ = 61.0°, I 45; 2θ = 51.3°, I 37; 2θ = 83.7°, I 19; 2θ = 86.4°, I 18; 2θ = 64.1°, I 13; 2θ = 75.5°, I 6

```
data_TlBi3
_chemical_formula_sum 'Tl1 Bi3'
_space_group_name_H-M_alt 'P m -3 m'
_space_group_IT_number 221
_space_group_name_Hall '-P 4 2 3'
_cell_length_a 5.035
_cell_length_b 5.035
_cell_length_c 5.035
_cell_angle_alpha 90.00
_cell_angle_beta 90.00
_cell_angle_gamma 90.00
loop_
_atom_site_label
_atom_site_type_symbol
_atom_site_fract_x
_atom_site_fract_y
_atom_site_fract_z
_atom_site_occupancy
Tl1 Tl 0.000 0.000 0.000 1
Bi1 Bi 0.000 0.500 0.500 1
```


6.
Diffraction record for ZnSe. The PXRD pattern is theoretical, not measured: it uses a structure optimized by DFT (GGA-PBE) and Cu Kα, 1.54184 Å.
Intensities are scaled so that the largest is 100.

The 7 most intense peaks (15 to 90 degrees two-theta), most intense first:
2θ = 26.9°, I 100; 2θ = 44.6°, I 74; 2θ = 52.9°, I 44; 2θ = 82.2°, I 24; 2θ = 71.6°, I 17; 2θ = 88.5°, I 13; 2θ = 65.0°, I 12

```
data_ZnSe
_chemical_formula_sum 'Zn4 Se4'
_space_group_name_H-M_alt 'F -4 3 m'
_space_group_IT_number 216
_space_group_name_Hall 'F -4 2 3'
_cell_length_a 5.742
_cell_length_b 5.742
_cell_length_c 5.742
_cell_angle_alpha 90.00
_cell_angle_beta 90.00
_cell_angle_gamma 90.00
loop_
_atom_site_label
_atom_site_type_symbol
_atom_site_fract_x
_atom_site_fract_y
_atom_site_fract_z
_atom_site_occupancy
Zn1 Zn 0.000 0.000 0.000 1
Se1 Se 0.250 0.250 0.250 1
```